1.
Computed powder diffraction line list of LiSn2Pd8 for Cu Kα (λ = 1.5418 Å), from the GGA-PBE geometry in Alexandria.
Lines closer than 0.1° are merged.

Main lines, by angle (2θ = 10–90°):
two_theta	d_spacing	intensity
33.28	2.693	13
39.34	2.291	14
39.93	2.258	100
42.54	2.125	27
46.48	1.954	12
76.09	1.251	17

Structural model:
```
data_LiSn2Pd8
_space_group_name_H-M_alt 'P 1'
_space_group_IT_number 1
_space_group_name_Hall 'P 1'
_cell_length_a 7.222
_cell_length_b 7.222
_cell_length_c 7.222
_cell_angle_alpha 145.77
_cell_angle_beta 119.39
_cell_angle_gamma 71.48
loop_
_atom_site_label
_atom_site_fract_x
_atom_site_fract_y
_atom_site_fract_z
Li1 0.000 0.000 0.000
Sn1 0.306 0.306 0.000
Sn2 0.694 0.694 0.000
Pd1 0.121 0.846 0.275
Pd2 0.142 0.642 0.500
Pd3 0.300 0.500 0.800
Pd4 0.429 0.154 0.275
Pd5 0.571 0.846 0.725
Pd6 0.700 0.500 0.200
Pd7 0.858 0.358 0.500
Pd8 0.879 0.154 0.725
```

2.
Computed powder diffraction line list of LiSn4Pd2 for Cu Kα (λ = 1.5418 Å), from the GGA-PBE geometry in Alexandria.
Lines closer than 0.1° are merged.

Main lines, by angle (2θ = 10–90°):
two_theta	d_spacing	intensity
26.55	3.358	55
28.35	3.148	32
32.71	2.738	45
40.44	2.230	100
40.60	2.222	77
73.66	1.286	27

Structural model:
```
data_LiSn4Pd2
_space_group_name_H-M_alt 'P 1'
_space_group_IT_number 1
_space_group_name_Hall 'P 1'
_cell_length_a 9.413
_cell_length_b 9.413
_cell_length_c 9.413
_cell_angle_alpha 27.41
_cell_angle_beta 27.41
_cell_angle_gamma 27.41
loop_
_atom_site_label
_atom_site_fract_x
_atom_site_fract_y
_atom_site_fract_z
Li1 0.000 0.000 0.000
Sn1 0.204 0.204 0.204
Sn2 0.387 0.387 0.387
Sn3 0.613 0.613 0.613
Sn4 0.796 0.796 0.796
Pd1 0.098 0.098 0.098
Pd2 0.902 0.902 0.902
```

3.
Computed powder diffraction line list of LiSnPd6 for Cu Kα (λ = 1.5418 Å), from the GGA-PBE geometry in Alexandria.
Lines closer than 0.1° are merged.

Main lines, by angle (2θ = 10–90°):
two_theta	d_spacing	intensity
39.53	2.280	100
44.23	2.048	37
49.30	1.848	13
64.33	1.448	12
68.37	1.372	19
78.20	1.222	27

Structural model:
```
data_LiSnPd6
_space_group_name_H-M_alt 'P 1'
_space_group_IT_number 1
_space_group_name_Hall 'P 1'
_cell_length_a 7.940
_cell_length_b 7.940
_cell_length_c 7.940
_cell_angle_alpha 150.11
_cell_angle_beta 150.11
_cell_angle_gamma 42.78
loop_
_atom_site_label
_atom_site_fract_x
_atom_site_fract_y
_atom_site_fract_z
Li1 0.000 0.000 0.000
Sn1 0.500 0.500 0.000
Pd1 0.119 0.619 0.500
Pd2 0.251 0.251 0.000
Pd3 0.381 0.881 0.500
Pd4 0.619 0.119 0.500
Pd5 0.749 0.749 0.000
Pd6 0.881 0.381 0.500
```

4.
Computed powder diffraction line list of Li3SnPd4 for Cu Kα (λ = 1.5418 Å), from the GGA-PBE geometry in Alexandria.
Lines closer than 0.1° are merged.

Main lines, by angle (2θ = 10–90°):
two_theta	d_spacing	intensity
21.47	4.139	23
28.66	3.115	38
40.98	2.202	53
41.62	2.170	100
59.35	1.557	18
75.08	1.265	35

Structural model:
```
data_Li3SnPd4
_space_group_name_H-M_alt 'P 1'
_space_group_IT_number 1
_space_group_name_Hall 'P 1'
_cell_length_a 6.805
_cell_length_b 6.805
_cell_length_c 6.805
_cell_angle_alpha 142.23
_cell_angle_beta 142.23
_cell_angle_gamma 54.48
loop_
_atom_site_label
_atom_site_fract_x
_atom_site_fract_y
_atom_site_fract_z
Li1 0.000 0.000 0.000
Li2 0.246 0.246 0.000
Li3 0.754 0.754 0.000
Sn1 0.500 0.500 0.000
Pd1 0.131 0.631 0.500
Pd2 0.369 0.869 0.500
Pd3 0.631 0.131 0.500
Pd4 0.869 0.369 0.500
```

5.
Computed powder diffraction line list of Li3SnPd6 for Cu Kα (λ = 1.5418 Å), from the GGA-PBE geometry in Alexandria.
Lines closer than 0.1° are merged.

Main lines, by angle (2θ = 10–90°):
two_theta	d_spacing	intensity
20.56	4.320	100
39.55	2.278	45
39.90	2.259	59
40.20	2.243	38
43.14	2.097	35
43.46	2.082	49

Structural model:
```
data_Li3SnPd6
_space_group_name_H-M_alt 'P 1'
_space_group_IT_number 1
_space_group_name_Hall 'P 1'
_cell_length_a 6.996
_cell_length_b 6.996
_cell_length_c 6.996
_cell_angle_alpha 100.11
_cell_angle_beta 100.11
_cell_angle_gamma 100.11
loop_
_atom_site_label
_atom_site_fract_x
_atom_site_fract_y
_atom_site_fract_z
Li1 0.064 0.354 0.354
Li2 0.354 0.064 0.354
Li3 0.354 0.354 0.064
Li4 0.646 0.646 0.936
Li5 0.646 0.936 0.646
Li6 0.936 0.646 0.646
Sn1 0.000 0.000 0.000
Sn2 0.500 0.500 0.500
Pd1 0.096 0.096 0.675
Pd2 0.096 0.675 0.096
Pd3 0.240 0.500 0.760
Pd4 0.240 0.760 0.500
Pd5 0.325 0.904 0.904
Pd6 0.500 0.240 0.760
Pd7 0.500 0.760 0.240
Pd8 0.675 0.096 0.096
Pd9 0.760 0.240 0.500
Pd10 0.760 0.500 0.240
Pd11 0.904 0.325 0.904
Pd12 0.904 0.904 0.325
```

6.
Computed powder diffraction line list of LiTlSnPd for Cu Kα (λ = 1.5418 Å), from the GGA-PBE geometry in Alexandria.
Lines closer than 0.1° are merged.

Main lines, by angle (2θ = 10–90°):
two_theta	d_spacing	intensity
22.70	3.917	22
26.27	3.392	28
37.50	2.398	100
54.08	1.696	18
61.09	1.517	12
67.66	1.385	36

Structural model:
```
data_LiTlSnPd
_space_group_name_H-M_alt 'P 1'
_space_group_IT_number 1
_space_group_name_Hall 'P 1'
_cell_length_a 4.797
_cell_length_b 4.797
_cell_length_c 4.797
_cell_angle_alpha 60.00
_cell_angle_beta 60.00
_cell_angle_gamma 60.00
loop_
_atom_site_label
_atom_site_fract_x
_atom_site_fract_y
_atom_site_fract_z
Li1 0.000 0.000 0.000
Tl1 0.750 0.750 0.750
Sn1 0.250 0.250 0.250
Pd1 0.500 0.500 0.500
```